Starting from the PBE geometry in Alexandria, the X-ray diffraction stick pattern of HoFe3I12 was calculated for Cu Kα (weighted mean of Kα1 and Kα2).
Neutral-atom scattering factors, no anomalous dispersion.

Structural model:
```
HoFe3I12
1.0
15.3433 0.0000 0.0000
-7.6716 13.2877 0.0000
0.0000 0.0000 8.0790
Ho Fe I
2 6 24
Direct
0.3333 0.6667 0.2500
0.6667 0.3333 0.7500
0.1285 0.4326 0.7500
0.3040 0.8715 0.7500
0.4326 0.3040 0.2500
0.5674 0.6960 0.7500
0.6960 0.1285 0.2500
0.8715 0.5674 0.2500
0.0163 0.5066 0.7500
0.0350 0.2450 0.7500
0.2100 0.9650 0.7500
0.2395 0.7546 0.0147
0.2395 0.7546 0.4853
0.2450 0.2100 0.2500
0.2454 0.4848 0.0147
0.2454 0.4848 0.4853
0.4848 0.2395 0.5147
0.4848 0.2395 0.9853
0.4903 0.9837 0.7500
0.4934 0.5097 0.7500
0.5066 0.4903 0.2500
0.5097 0.0163 0.2500
0.5152 0.7605 0.0147
0.5152 0.7605 0.4853
0.7546 0.5152 0.5147
0.7546 0.5152 0.9853
0.7550 0.7900 0.7500
0.7605 0.2454 0.5147
0.7605 0.2454 0.9853
0.7900 0.0350 0.2500
0.9650 0.7550 0.2500
0.9837 0.4934 0.2500
```

Top 10 peaks for 15° ≤ 2θ ≤ 90°, most intense first:
| 2θ/deg | intensity |
| --- | --- |
| 26.8 | 100.0 |
| 28.4 | 90.8 |
| 15.9 | 41.7 |
| 17.3 | 36.0 |
| 20.8 | 33.8 |
| 24.1 | 33.7 |
| 32.2 | 31.8 |
| 50.4 | 27.3 |
| 53.1 | 27.2 |
| 36.9 | 27.1 |

=====

Starting from the PBE geometry in Alexandria, the X-ray diffraction stick pattern of Nd3Sc2Tl4 was calculated for Cu Kα (weighted mean of Kα1 and Kα2).
Neutral-atom scattering factors, no anomalous dispersion.

Structural model:
```
Nd3Sc2Tl4
1.0
7.6838 -5.4045 0.0000
7.6838 5.4045 0.0000
-0.6549 0.0000 6.1129
Nd Sc Tl
6 4 8
Direct
0.0347 0.9653 0.7500
0.2923 0.4895 0.5646
0.4895 0.2923 0.0646
0.5105 0.7077 0.9354
0.7077 0.5105 0.4354
0.9653 0.0347 0.2500
0.0923 0.3551 0.1387
0.3551 0.0923 0.6387
0.6449 0.9077 0.3613
0.9077 0.6449 0.8613
0.0500 0.3092 0.6276
0.2092 0.6411 0.0570
0.3092 0.0500 0.1276
0.3589 0.7908 0.4430
0.6411 0.2092 0.5570
0.6908 0.9500 0.8724
0.7908 0.3589 0.9430
0.9500 0.6908 0.3724
```

Top 10 peaks for 15° ≤ 2θ ≤ 90°, most intense first:
| 2θ/deg | intensity |
| --- | --- |
| 30.4 | 100.0 |
| 31.6 | 78.0 |
| 35.6 | 69.4 |
| 29.0 | 63.4 |
| 33.0 | 61.2 |
| 25.3 | 48.9 |
| 35.2 | 43.5 |
| 32.4 | 33.0 |
| 39.6 | 25.9 |
| 43.3 | 23.9 |

=====

Starting from the PBE geometry in Alexandria, the X-ray diffraction stick pattern of La5HPb2 was calculated for Cu Kα (weighted mean of Kα1 and Kα2).
Neutral-atom scattering factors, no anomalous dispersion.

Structural model:
```
La5HPb2
1.0
0.0000 5.1808 4.6755
5.1726 0.0000 4.6755
5.1726 5.1808 0.0000
La H Pb
5 1 2
Direct
0.0000 0.0000 0.0000
0.0039 0.5063 0.4937
0.0040 0.5061 0.9960
0.5061 0.0040 0.4939
0.5063 0.0039 0.9961
0.7412 0.7412 0.2588
0.0042 0.0042 0.4958
0.5042 0.5042 0.9958
```

Top 10 peaks for 15° ≤ 2θ ≤ 90°, most intense first:
| 2θ/deg | intensity |
| --- | --- |
| 31.0 | 100.0 |
| 34.7 | 37.6 |
| 59.9 | 31.1 |
| 52.8 | 22.8 |
| 38.5 | 14.1 |
| 49.8 | 13.5 |
| 64.7 | 12.4 |
| 17.1 | 12.2 |
| 65.0 | 12.1 |
| 86.2 | 11.6 |